For DyMgCuW2O8, a DFT-relaxed cell (GGA+U, the Materials Project) gives the simulated powder XRD pattern in this record (Cu Kα (weighted mean of Kα1 and Kα2)).
Neutral-atom scattering factors, no anomalous dispersion.

Top 12 peaks for 10° ≤ 2θ ≤ 80°, in order of falling intensity:
Position (°2θ)  I (rel.)
33.9  100
26.3  96
27.5  75
30.9  67
31.1  66
19.2  66
33.4  58
17.8  33
51.7  31
49.3  26
61.0  25
43.8  21

```
data_DyMgCuW2O8
_space_group_name_H-M_alt 'P 1'
_space_group_IT_number 1
_space_group_name_Hall 'P 1'
_cell_length_a 5.368
_cell_length_b 5.929
_cell_length_c 6.086
_cell_angle_alpha 107.72
_cell_angle_beta 90.19
_cell_angle_gamma 116.52
loop_
_atom_site_label
_atom_site_type_symbol
_atom_site_fract_x
_atom_site_fract_y
_atom_site_fract_z
_atom_site_occupancy
Dy1 Dy 0.000 0.000 0.000 1
Mg1 Mg 0.544 0.074 0.707 1
Cu1 Cu 0.361 0.745 0.149 1
W1 W 0.262 0.478 0.624 1
W2 W 0.770 0.504 0.335 1
O1 O 0.212 0.702 0.430 1
O2 O 0.261 0.790 0.871 1
O3 O 0.272 0.238 0.761 1
O4 O 0.346 0.281 0.313 1
O5 O 0.682 0.734 0.653 1
O6 O 0.746 0.741 0.199 1
O7 O 0.796 0.260 0.037 1
O8 O 0.827 0.302 0.534 1
```


For DyMgCuW2O8, a DFT-relaxed cell (GGA+U, the Materials Project) gives the simulated powder XRD pattern in this record (Cu Kα (weighted mean of Kα1 and Kα2)).
Neutral-atom scattering factors, no anomalous dispersion.

Top 12 peaks for 10° ≤ 2θ ≤ 80°, in order of falling intensity:
Position (°2θ)  I (rel.)
25.6  100
26.3  93
18.7  88
30.5  69
30.0  66
33.4  66
26.6  43
17.1  42
34.6  41
34.0  34
33.0  33
29.7  32

```
data_DyMgCuW2O8
_space_group_name_H-M_alt 'P 1'
_space_group_IT_number 1
_space_group_name_Hall 'P 1'
_cell_length_a 5.364
_cell_length_b 6.101
_cell_length_c 6.181
_cell_angle_alpha 106.84
_cell_angle_beta 91.96
_cell_angle_gamma 115.55
loop_
_atom_site_label
_atom_site_type_symbol
_atom_site_fract_x
_atom_site_fract_y
_atom_site_fract_z
_atom_site_occupancy
Dy1 Dy 0.000 0.000 0.000 1
Mg1 Mg 0.293 0.607 0.148 1
Cu1 Cu 0.572 0.081 0.563 1
W1 W 0.274 0.532 0.656 1
W2 W 0.767 0.539 0.360 1
O1 O 0.018 0.354 0.316 1
O2 O 0.029 0.767 0.210 1
O3 O 0.058 0.736 0.672 1
O4 O 0.069 0.311 0.824 1
O5 O 0.473 0.317 0.117 1
O6 O 0.508 0.357 0.571 1
O7 O 0.530 0.789 0.947 1
O8 O 0.559 0.756 0.470 1
```


For DyMn4Cu3O12, a DFT-relaxed cell (GGA+U, the Materials Project) gives the simulated powder XRD pattern in this record (Cu Kα (weighted mean of Kα1 and Kα2)).
Neutral-atom scattering factors, no anomalous dispersion.

Top 12 peaks for 10° ≤ 2θ ≤ 80°, in order of falling intensity:
Position (°2θ)  I (rel.)
34.2  100
61.3  47
49.2  25
16.9  16
72.1  12
45.8  11
38.4  10
42.3  7
24.0  6
29.5  4
64.1  3
79.8  3

```
data_DyMn4Cu3O12
_space_group_name_H-M_alt 'P 1'
_space_group_IT_number 1
_space_group_name_Hall 'P 1'
_cell_length_a 6.416
_cell_length_b 6.416
_cell_length_c 6.416
_cell_angle_alpha 109.47
_cell_angle_beta 109.47
_cell_angle_gamma 109.47
loop_
_atom_site_label
_atom_site_type_symbol
_atom_site_fract_x
_atom_site_fract_y
_atom_site_fract_z
_atom_site_occupancy
Dy1 Dy 0.000 0.000 0.000 1
Mn1 Mn 0.000 0.000 0.500 1
Mn2 Mn 0.000 0.500 0.000 1
Mn3 Mn 0.500 0.000 0.000 1
Mn4 Mn 0.500 0.500 0.500 1
Cu1 Cu 0.000 0.500 0.500 1
Cu2 Cu 0.500 0.000 0.500 1
Cu3 Cu 0.500 0.500 0.000 1
O1 O 0.132 0.302 0.830 1
O2 O 0.170 0.472 0.302 1
O3 O 0.170 0.868 0.698 1
O4 O 0.302 0.170 0.472 1
O5 O 0.302 0.830 0.132 1
O6 O 0.472 0.302 0.170 1
O7 O 0.528 0.698 0.830 1
O8 O 0.698 0.170 0.868 1
O9 O 0.698 0.830 0.528 1
O10 O 0.830 0.132 0.302 1
O11 O 0.830 0.528 0.698 1
O12 O 0.868 0.698 0.170 1
```


For ErFe4Cu3O12, a DFT-relaxed cell (GGA+U, the Materials Project) gives the simulated powder XRD pattern in this record (Cu Kα (weighted mean of Kα1 and Kα2)).
Neutral-atom scattering factors, no anomalous dispersion.

Top 12 peaks for 10° ≤ 2θ ≤ 80°, in order of falling intensity:
Position (°2θ)  I (rel.)
34.0  100
60.9  47
48.9  24
16.8  16
71.6  12
45.5  11
38.2  11
23.9  5
42.0  5
29.3  4
63.6  3
79.2  3

```
data_ErFe4Cu3O12
_space_group_name_H-M_alt 'P 1'
_space_group_IT_number 1
_space_group_name_Hall 'P 1'
_cell_length_a 6.457
_cell_length_b 6.457
_cell_length_c 6.457
_cell_angle_alpha 109.47
_cell_angle_beta 109.47
_cell_angle_gamma 109.47
loop_
_atom_site_label
_atom_site_type_symbol
_atom_site_fract_x
_atom_site_fract_y
_atom_site_fract_z
_atom_site_occupancy
Er1 Er 0.000 0.000 0.000 1
Fe1 Fe 0.000 0.000 0.500 1
Fe2 Fe 0.000 0.500 0.000 1
Fe3 Fe 0.500 0.000 0.000 1
Fe4 Fe 0.500 0.500 0.500 1
Cu1 Cu 0.000 0.500 0.500 1
Cu2 Cu 0.500 0.000 0.500 1
Cu3 Cu 0.500 0.500 0.000 1
O1 O 0.142 0.307 0.836 1
O2 O 0.164 0.471 0.307 1
O3 O 0.164 0.858 0.693 1
O4 O 0.307 0.164 0.471 1
O5 O 0.307 0.836 0.142 1
O6 O 0.471 0.307 0.164 1
O7 O 0.529 0.693 0.836 1
O8 O 0.693 0.164 0.858 1
O9 O 0.693 0.836 0.529 1
O10 O 0.836 0.142 0.307 1
O11 O 0.836 0.529 0.693 1
O12 O 0.858 0.693 0.164 1
```